Record 1
Structure and calculated powder X-ray diffraction pattern of CaSmPd2 (a crystal structure in the Materials Project, relaxed with GGA-PBE; Cu Kα (λ = 1.5418 Å)).

Atomic structure:
Lattice parameters (Å, degrees): 7.1174 7.1174 7.1174 90.00 90.00 90.00
Fractional coordinates of all 16 atoms:
1 Ca 0.0000 0.0000 0.0000
2 Ca 0.0000 0.5000 0.5000
3 Ca 0.5000 0.0000 0.5000
4 Ca 0.5000 0.5000 0.0000
5 Sm 0.0000 0.0000 0.5000
6 Sm 0.0000 0.5000 0.0000
7 Sm 0.5000 0.0000 0.0000
8 Sm 0.5000 0.5000 0.5000
9 Pd 0.2500 0.2500 0.2500
10 Pd 0.2500 0.2500 0.7500
11 Pd 0.2500 0.7500 0.2500
12 Pd 0.2500 0.7500 0.7500
13 Pd 0.7500 0.2500 0.2500
14 Pd 0.7500 0.2500 0.7500
15 Pd 0.7500 0.7500 0.2500
16 Pd 0.7500 0.7500 0.7500

Most intense lines, 2θ = 10–90°, in order of rising 2θ:
21.63°, I 16.0
35.68°, I 100.0
42.11°, I 8.9
51.35°, I 17.4
56.35°, I 3.9
64.10°, I 35.1
68.50°, I 3.0
75.57°, I 10.7
79.70°, I 3.0
86.48°, I 15.4

Record 2
Structure and calculated powder X-ray diffraction pattern of LuP2H4NO7 (a crystal structure in the Materials Project, relaxed with GGA-PBE; Cu Kα (λ = 1.5418 Å)).

Atomic structure:
Lattice parameters (Å, degrees): 7.7340 10.9937 8.7493 90.00 106.15 90.00
Fractional coordinates of all 60 atoms:
1 Lu 0.2357 0.1004 0.2564
2 Lu 0.2357 0.3996 0.7564
3 Lu 0.7643 0.6004 0.2436
4 Lu 0.7643 0.8996 0.7436
5 P 0.1280 0.0996 0.8239
6 P 0.1280 0.4004 0.3239
7 P 0.4337 0.1342 0.6884
8 P 0.4337 0.3658 0.1884
9 P 0.5663 0.6342 0.8116
10 P 0.5663 0.8658 0.3116
11 P 0.8720 0.5996 0.6761
12 P 0.8720 0.9004 0.1761
13 H 0.0991 0.7164 0.1206
14 H 0.0991 0.7836 0.6206
15 H 0.1579 0.7022 0.9507
16 H 0.1579 0.7978 0.4507
17 H 0.1775 0.5844 0.0743
18 H 0.1775 0.9156 0.5743
19 H 0.3227 0.7025 0.1318
20 H 0.3227 0.7975 0.6318
21 H 0.6773 0.2025 0.3682
22 H 0.6773 0.2975 0.8682
23 H 0.8225 0.0844 0.4257
24 H 0.8225 0.4156 0.9257
25 H 0.8421 0.2022 0.5493
26 H 0.8421 0.2978 0.0493
27 H 0.9009 0.2164 0.3794
28 H 0.9009 0.2836 0.8794
29 N 0.1912 0.6772 0.0689
30 N 0.1912 0.8228 0.5689
31 N 0.8088 0.1772 0.4311
32 N 0.8088 0.3228 0.9311
33 O 0.0014 0.0027 0.7273
34 O 0.0014 0.4973 0.2273
35 O 0.0722 0.2284 0.7570
36 O 0.0722 0.2716 0.2570
37 O 0.1496 0.0926 0.0012
38 O 0.1496 0.4074 0.5012
39 O 0.3219 0.1148 0.5167
40 O 0.3219 0.3852 0.0167
41 O 0.3244 0.0681 0.8004
42 O 0.3244 0.4319 0.3004
43 O 0.3850 0.5695 0.7715
44 O 0.3850 0.9305 0.2715
45 O 0.4542 0.2313 0.2402
46 O 0.4542 0.2687 0.7402
47 O 0.5458 0.7313 0.2598
48 O 0.5458 0.7687 0.7598
49 O 0.6150 0.0695 0.7285
50 O 0.6150 0.4305 0.2285
51 O 0.6756 0.5681 0.6996
52 O 0.6756 0.9319 0.1996
53 O 0.6781 0.6148 0.9833
54 O 0.6781 0.8852 0.4833
55 O 0.8504 0.5926 0.4988
56 O 0.8504 0.9074 0.9988
57 O 0.9278 0.7284 0.7430
58 O 0.9278 0.7716 0.2430
59 O 0.9986 0.5027 0.7727
60 O 0.9986 0.9973 0.2727

Most intense lines, 2θ = 10–90°, in order of rising 2θ:
14.39°, I 100.0
15.76°, I 66.0
19.29°, I 16.9
21.14°, I 67.3
23.96°, I 15.8
27.13°, I 52.7
28.34°, I 24.1
28.49°, I 56.9
31.89°, I 20.9
35.78°, I 16.6

Record 3
Structure and calculated powder X-ray diffraction pattern of LiTaNbAg2O6 (a crystal structure in the Materials Project, relaxed with GGA-PBE; Cu Kα (λ = 1.5418 Å)).

Atomic structure:
Lattice parameters (Å, degrees): 4.0797 4.0797 8.1706 90.00 90.00 90.00
Fractional coordinates of all 11 atoms:
1 Li 0.0000 0.0000 0.0000
2 Ta 0.5000 0.5000 0.5000
3 Nb 0.5000 0.5000 0.0000
4 Ag 0.0000 0.0000 0.3036
5 Ag 0.0000 0.0000 0.6964
6 O 0.0000 0.5000 0.0000
7 O 0.0000 0.5000 0.5000
8 O 0.5000 0.0000 0.0000
9 O 0.5000 0.0000 0.5000
10 O 0.5000 0.5000 0.2536
11 O 0.5000 0.5000 0.7464

Most intense lines, 2θ = 10–90°, in order of rising 2θ:
10.83°, I 22.4
30.99°, I 100.0
32.92°, I 8.1
39.80°, I 13.8
44.40°, I 29.3
49.94°, I 8.1
55.12°, I 30.1
61.14°, I 8.4
64.59°, I 14.1
89.96°, I 10.7

Record 4
Structure and calculated powder X-ray diffraction pattern of Mg3Bi2 (a crystal structure in the Materials Project, relaxed with GGA-PBE; Cu Kα (λ = 1.5418 Å)).

Atomic structure:
Lattice parameters (Å, degrees): 11.9283 11.9283 11.9283 109.47 109.47 109.47
Fractional coordinates of all 40 atoms:
1 Mg 0.0051 0.4843 0.7439
2 Mg 0.0157 0.0208 0.2596
3 Mg 0.0208 0.2596 0.0157
4 Mg 0.2387 0.4792 0.4949
5 Mg 0.2404 0.2613 0.7561
6 Mg 0.2439 0.7596 0.7387
7 Mg 0.2561 0.9949 0.5157
8 Mg 0.2596 0.0157 0.0208
9 Mg 0.2613 0.7561 0.2404
10 Mg 0.4792 0.4949 0.2387
11 Mg 0.4843 0.7439 0.0051
12 Mg 0.4949 0.2387 0.4792
13 Mg 0.5051 0.7613 0.5208
14 Mg 0.5157 0.2561 0.9949
15 Mg 0.5208 0.5051 0.7613
16 Mg 0.7387 0.2439 0.7596
17 Mg 0.7404 0.9843 0.9792
18 Mg 0.7439 0.0051 0.4843
19 Mg 0.7561 0.2404 0.2613
20 Mg 0.7596 0.7387 0.2439
21 Mg 0.7613 0.5208 0.5051
22 Mg 0.9792 0.7404 0.9843
23 Mg 0.9843 0.9792 0.7404
24 Mg 0.9949 0.5157 0.2561
25 Bi 0.0000 0.0000 0.0000
26 Bi 0.0000 0.5000 0.5000
27 Bi 0.0144 0.7644 0.2500
28 Bi 0.2356 0.7500 0.9856
29 Bi 0.2500 0.0144 0.7644
30 Bi 0.2500 0.5144 0.2644
31 Bi 0.2644 0.2500 0.5144
32 Bi 0.4856 0.7356 0.7500
33 Bi 0.5000 0.0000 0.5000
34 Bi 0.5000 0.5000 0.0000
35 Bi 0.5144 0.2644 0.2500
36 Bi 0.7356 0.7500 0.4856
37 Bi 0.7500 0.4856 0.7356
38 Bi 0.7500 0.9856 0.2356
39 Bi 0.7644 0.2500 0.0144
40 Bi 0.9856 0.2356 0.7500

Most intense lines, 2θ = 10–90°, in order of rising 2θ:
22.36°, I 100.0
25.87°, I 34.4
36.92°, I 57.6
43.59°, I 51.1
45.63°, I 10.0
58.41°, I 20.5
60.08°, I 13.0
66.51°, I 18.3
71.14°, I 14.6
82.94°, I 14.0

Record 5
Structure and calculated powder X-ray diffraction pattern of CaAgO2 (a crystal structure in the Materials Project, relaxed with GGA-PBE; Cu Kα (λ = 1.5418 Å)).

Atomic structure:
Lattice parameters (Å, degrees): 3.3825 3.3825 4.7297 90.00 90.00 90.00
Fractional coordinates of all 4 atoms:
1 Ca 0.0000 0.0000 0.0000
2 Ag 0.5000 0.5000 0.5000
3 O 0.0000 0.0000 0.5000
4 O 0.5000 0.5000 0.0000

Most intense lines, 2θ = 10–90°, in order of rising 2θ:
18.76°, I 31.5
26.35°, I 28.6
32.54°, I 100.0
37.61°, I 80.1
38.05°, I 38.7
42.35°, I 16.3
54.24°, I 24.9
54.57°, I 48.8
64.70°, I 27.5
68.17°, I 23.3

Record 6
Structure and calculated powder X-ray diffraction pattern of NbSe2 (a crystal structure in the Materials Project, relaxed with GGA-PBE; Cu Kα (λ = 1.5418 Å)).

Atomic structure:
Lattice parameters (Å, degrees): 3.4977 3.4977 37.7951 90.00 90.00 119.96
Fractional coordinates of all 12 atoms:
1 Nb 0.2402 0.2413 0.4145
2 Nb 0.2413 0.2402 0.5855
3 Nb 0.7587 0.7597 0.0855
4 Nb 0.7597 0.7587 0.9145
5 Se 0.0929 0.4245 0.8696
6 Se 0.0935 0.4256 0.9589
7 Se 0.4245 0.0929 0.1304
8 Se 0.4256 0.0935 0.0411
9 Se 0.5744 0.9065 0.5411
10 Se 0.5755 0.9071 0.6304
11 Se 0.9065 0.5744 0.4589
12 Se 0.9071 0.5755 0.3696

Most intense lines, 2θ = 10–90°, in order of rising 2θ:
14.06°, I 73.2
29.86°, I 83.1
31.81°, I 36.1
33.92°, I 61.1
35.19°, I 39.2
38.07°, I 64.7
39.66°, I 100.0
41.36°, I 47.5
43.11°, I 67.7
52.35°, I 97.0